Record 1
Pr7Ir3: computed powder diffractogram (a wavelength of 1.5418 Å), based on DFT lattice parameters and positions (GGA-PBE).
No peak broadening, texture or thermal motion is included.

The 10 most intense peaks (2θ from 10° to 90°), in order of falling intensity:
| two_theta | d_spacing | Rel. int. | (hkl) |
| --- | --- | --- | --- |
| 30.08 | 2.971 | 100 | 2 1 1 |
| 33.38 | 2.685 | 87 | 3 0 1 |
| 34.44 | 2.604 | 82 | 2 0 2 |
| 35.08 | 2.558 | 78 | 2 2 0 |
| 29.52 | 3.026 | 49 | 1 0 2 |
| 17.02 | 5.209 | 37 | 1 0 1 |
| 52.72 | 1.736 | 36 | 3 0 3 |
| 30.26 | 2.954 | 31 | 3 0 0 |
| 46.87 | 1.939 | 30 | 3 2 1 |
| 38.80 | 2.321 | 29 | 2 1 2 |

Structure:
```
data_Pr7Ir3
_chemical_formula_sum 'Pr14 Ir6'
_cell_length_a 10.2319
_cell_length_b 10.2319
_cell_length_c 6.4382
_cell_angle_alpha 90.00
_cell_angle_beta 90.00
_cell_angle_gamma 120.00
_space_group_name_H-M_alt 'P 63 m c'
_space_group_IT_number 186
_space_group_name_Hall 'P 6c -2c'
loop_
_atom_site_label
_atom_site_fract_x
_atom_site_fract_y
_atom_site_fract_z
_atom_site_occupancy
Pr1 0.0785 0.5392 0.0000 1
Pr2 0.1260 0.2521 0.3058 1
Pr3 0.3333 0.6667 0.5320 1
Ir1 0.1879 0.3759 0.7522 1
```

***

Record 2
La2Pr3In4: computed powder diffractogram (a wavelength of 1.5418 Å), based on DFT lattice parameters and positions (GGA-PBE).
No peak broadening, texture or thermal motion is included.

The 10 most intense peaks (2θ from 10° to 90°), in order of falling intensity:
| two_theta | d_spacing | Rel. int. | (hkl) |
| --- | --- | --- | --- |
| 31.56 | 2.835 | 100 | 1 1 3 |
| 32.40 | 2.764 | 99 | 3 1 0 |
| 57.26 | 1.609 | 36 | 4 2 3 |
| 45.86 | 1.979 | 35 | 4 0 3 |
| 57.79 | 1.596 | 19 | 6 0 0 |
| 55.67 | 1.651 | 16 | 2 0 6 |
| 67.83 | 1.382 | 11 | 6 2 0 |
| 76.69 | 1.243 | 10 | 5 3 -3 |
| 65.90 | 1.417 | 10 | 2 2 6 |
| 75.32 | 1.262 | 9 | 4 2 -6 |

Structure:
```
data_La2Pr3In4
_chemical_formula_sum 'La4 Pr6 In8'
_cell_length_a 9.566
_cell_length_b 5.531
_cell_length_c 10.554
_cell_angle_alpha 90.00
_cell_angle_beta 90.08
_cell_angle_gamma 90.00
_space_group_name_H-M_alt 'C 1 2/m 1'
_space_group_IT_number 12
_space_group_name_Hall '-C 2y'
loop_
_atom_site_label
_atom_site_fract_x
_atom_site_fract_y
_atom_site_fract_z
_atom_site_occupancy
La1 0.167 0.000 0.282 1
Pr1 0.000 0.500 0.500 1
Pr2 0.167 0.000 0.923 1
In1 0.000 0.500 0.149 1
In2 0.167 0.000 0.602 1
```

***

Record 3
LiAc4La3Se8: computed powder diffractogram (a wavelength of 1.5418 Å), based on DFT lattice parameters and positions (GGA-PBE).
No peak broadening, texture or thermal motion is included.

The 10 most intense peaks (2θ from 10° to 90°), in order of falling intensity:
| two_theta | d_spacing | Rel. int. | (hkl) |
| --- | --- | --- | --- |
| 28.88 | 3.092 | 100 | 0 2 4 |
| 41.24 | 2.189 | 38 | 2 2 0 |
| 41.35 | 2.184 | 37 | 2 0 8 |
| 24.94 | 3.570 | 22 | 0 0 6 |
| 51.12 | 1.787 | 21 | 4 0 4 |
| 75.22 | 1.263 | 19 | 6 0 0 |
| 67.69 | 1.384 | 18 | 2 4 4 |
| 67.85 | 1.381 | 17 | 2 2 12 |
| 59.82 | 1.546 | 13 | 0 4 8 |
| 23.84 | 3.732 | 12 | 0 2 1 |

Structure:
```
data_LiAc4La3Se8
_chemical_formula_sum 'Li3 Ac12 La9 Se24'
_cell_length_a 8.7565
_cell_length_b 8.7565
_cell_length_c 21.3684
_cell_angle_alpha 90.00
_cell_angle_beta 90.00
_cell_angle_gamma 120.00
_space_group_name_H-M_alt 'R -3 m'
_space_group_IT_number 166
_space_group_name_Hall '-R 3 2"'
loop_
_atom_site_label
_atom_site_fract_x
_atom_site_fract_y
_atom_site_fract_z
_atom_site_occupancy
Li1 0.0000 0.0000 0.0000 1
Ac1 0.0000 0.0000 0.5000 1
Ac2 0.0000 0.5000 0.5000 1
La1 0.0000 0.5000 0.0000 1
Se1 0.0000 0.0000 0.2534 1
Se2 0.0086 0.5043 0.7446 1
```

***

Record 4
AgP: computed powder diffractogram (a wavelength of 1.5418 Å), based on DFT lattice parameters and positions (GGA-PBE).
No peak broadening, texture or thermal motion is included.

The 10 most intense peaks (2θ from 10° to 90°), in order of falling intensity:
| two_theta | d_spacing | Rel. int. | (hkl) |
| --- | --- | --- | --- |
| 37.48 | 2.400 | 100 | 3 1 -1 |
| 39.01 | 2.309 | 94 | 1 1 -2 |
| 30.89 | 2.894 | 61 | 4 0 -1 |
| 30.63 | 2.918 | 50 | 2 0 1 |
| 14.84 | 5.970 | 49 | 2 0 -1 |
| 35.91 | 2.501 | 41 | 4 0 -3 |
| 31.32 | 2.856 | 30 | 1 1 0 |
| 14.67 | 6.040 | 27 | 0 0 1 |
| 35.68 | 2.516 | 25 | 2 0 -3 |
| 50.63 | 1.803 | 23 | 3 1 1 |

Structure:
```
data_AgP
_chemical_formula_sum 'Ag6 P6'
_cell_length_a 12.145
_cell_length_b 2.998
_cell_length_c 7.809
_cell_angle_alpha 90.00
_cell_angle_beta 129.33
_cell_angle_gamma 90.00
_space_group_name_H-M_alt 'C 1 m 1'
_space_group_IT_number 8
_space_group_name_Hall 'C -2y'
loop_
_atom_site_label
_atom_site_fract_x
_atom_site_fract_y
_atom_site_fract_z
_atom_site_occupancy
Ag1 0.000 0.000 0.000 1
Ag2 0.136 0.500 0.849 1
Ag3 0.360 0.500 0.547 1
P1 0.027 0.500 0.309 1
P2 0.163 0.000 0.568 1
P3 0.314 0.000 0.221 1
```

***

Record 5
Ga2CuRh: computed powder diffractogram (a wavelength of 1.5418 Å), based on DFT lattice parameters and positions (GGA-PBE).
No peak broadening, texture or thermal motion is included.

The 10 most intense peaks (2θ from 10° to 90°), in order of falling intensity:
| two_theta | d_spacing | Rel. int. | (hkl) |
| --- | --- | --- | --- |
| 38.00 | 2.368 | 100 | 0 0 4 |
| 43.80 | 2.067 | 66 | 1 2 1 |
| 44.72 | 2.026 | 62 | 1 2 -3 |
| 71.98 | 1.312 | 19 | 1 2 5 |
| 41.76 | 2.163 | 17 | 2 0 0 |
| 74.01 | 1.281 | 17 | 1 2 -7 |
| 43.67 | 2.073 | 16 | 2 0 -4 |
| 53.24 | 1.720 | 14 | 2 0 2 |
| 69.87 | 1.346 | 12 | 3 2 -3 |
| 56.40 | 1.631 | 11 | 2 0 -6 |

Structure:
```
data_Ga2CuRh
_chemical_formula_sum 'Ga8 Cu4 Rh4'
_cell_length_a 4.737
_cell_length_b 5.171
_cell_length_c 10.381
_cell_angle_alpha 90.00
_cell_angle_beta 114.06
_cell_angle_gamma 90.00
_space_group_name_H-M_alt 'P 1 2/c 1'
_space_group_IT_number 13
_space_group_name_Hall '-P 2yc'
loop_
_atom_site_label
_atom_site_fract_x
_atom_site_fract_y
_atom_site_fract_z
_atom_site_occupancy
Ga1 0.172 0.163 0.118 1
Ga2 0.326 0.145 0.872 1
Cu1 0.325 0.362 0.383 1
Rh1 0.182 0.349 0.632 1
```

***

Record 6
K2Sc2BiTe6: computed powder diffractogram (a wavelength of 1.5418 Å), based on DFT lattice parameters and positions (GGA-PBE).
No peak broadening, texture or thermal motion is included.

The 10 most intense peaks (2θ from 10° to 90°), in order of falling intensity:
| two_theta | d_spacing | Rel. int. | (hkl) |
| --- | --- | --- | --- |
| 27.72 | 3.218 | 100 | 1 3 1 |
| 10.30 | 8.592 | 82 | 0 0 1 |
| 28.15 | 3.170 | 49 | 2 0 -2 |
| 37.13 | 2.421 | 34 | 1 3 -3 |
| 42.56 | 2.124 | 32 | 3 3 -1 |
| 34.24 | 2.619 | 29 | 1 3 2 |
| 25.11 | 3.547 | 20 | 1 3 -1 |
| 42.20 | 2.142 | 17 | 0 6 0 |
| 51.49 | 1.775 | 17 | 2 6 -2 |
| 45.99 | 1.973 | 17 | 1 3 -4 |

Structure:
```
data_K2Sc2BiTe6
_chemical_formula_sum 'K4 Sc4 Bi2 Te12'
_cell_length_a 7.340
_cell_length_b 12.850
_cell_length_c 8.902
_cell_angle_alpha 90.00
_cell_angle_beta 105.16
_cell_angle_gamma 90.00
_space_group_name_H-M_alt 'C 1 2/m 1'
_space_group_IT_number 12
_space_group_name_Hall '-C 2y'
loop_
_atom_site_label
_atom_site_fract_x
_atom_site_fract_y
_atom_site_fract_z
_atom_site_occupancy
K1 0.000 0.160 0.000 1
Sc1 0.000 0.333 0.500 1
Bi1 0.000 0.000 0.500 1
Te1 0.205 0.500 0.702 1
Te2 0.241 0.176 0.701 1
```